The following is a calculated powder diffraction line list of V8Ni2Ge. It was derived from DFT lattice parameters and positions (GGA-PBE), using copper Kα.
Kinematic intensities with the Lorentz-polarization factor, no thermal factor.

Atomic structure:
```
data_V8Ni2Ge
_chemical_formula_sum 'V16 Ni4 Ge2'
_cell_length_a 11.018
_cell_length_b 4.950
_cell_length_c 5.675
_cell_angle_alpha 90.00
_cell_angle_beta 107.58
_cell_angle_gamma 90.00
_symmetry_space_group_name_H-M 'C 1 2/m 1'
_symmetry_Int_Tables_number 12
loop_
_symmetry_equiv_pos_as_xyz
'x,y,z'
'-x,-y,-z'
'-x,y,-z'
'x,-y,z'
'x+1/2,y+1/2,z'
'-x+1/2,-y+1/2,-z'
'-x+1/2,y+1/2,-z'
'x+1/2,-y+1/2,z'
loop_
_atom_site_label
_atom_site_fract_x
_atom_site_fract_y
_atom_site_fract_z
V1 0.090 0.240 0.410
V2 0.091 0.000 0.915
V3 0.198 0.500 0.783
Ni1 0.230 0.500 0.242
Ge1 0.000 0.500 0.000
```

The 8 most intense peaks (10° ≤ 2θ ≤ 90°), sorted by position:
d 2.705, I 22.7, hkl 4 0 -1; d 2.263, I 56.6, hkl 3 1 -2; d 2.252, I 100.0, hkl 0 2 1; d 2.154, I 86.3, hkl 2 0 2; d 2.006, I 34.1, hkl 5 1 -1; d 1.980, I 40.0, hkl 2 2 1; d 1.934, I 44.6, hkl 5 1 0; d 1.845, I 30.6, hkl 2 2 -2


The following is a calculated powder diffraction line list of InSiSe4. It was derived from DFT lattice parameters and positions (GGA-PBE), using copper Kα.
Kinematic intensities with the Lorentz-polarization factor, no thermal factor.

Atomic structure:
```
data_InSiSe4
_chemical_formula_sum 'In2 Si2 Se8'
_cell_length_a 5.878
_cell_length_b 5.878
_cell_length_c 10.217
_cell_angle_alpha 90.00
_cell_angle_beta 90.00
_cell_angle_gamma 90.00
_symmetry_space_group_name_H-M 'P -4 2 c'
_symmetry_Int_Tables_number 112
loop_
_symmetry_equiv_pos_as_xyz
'x,y,z'
'y,-x,-z'
'-x,-y,z'
'-y,x,-z'
'x,-y,-z+1/2'
'y,x,z+1/2'
'-x,y,-z+1/2'
'-y,-x,z+1/2'
loop_
_atom_site_label
_atom_site_fract_x
_atom_site_fract_y
_atom_site_fract_z
In1 0.000 0.000 0.000
Si1 0.000 0.500 0.250
Se1 0.255 0.286 0.367
```

The 8 most intense peaks (10° ≤ 2θ ≤ 90°), sorted by position:
d 3.856, I 19.5, hkl 1 0 2; d 3.224, I 100.0, hkl 1 1 2; d 2.629, I 12.1, hkl 2 1 0; d 2.339, I 21.9, hkl 1 0 4; d 2.078, I 25.0, hkl 2 2 0; d 1.928, I 38.7, hkl 2 0 4; d 1.747, I 27.6, hkl 3 1 2; d 1.169, I 11.2, hkl 4 2 4


Number 1 is which compound? V8Ni2Ge


Which formula does entry 2 have? InSiSe4